Structure and computed PXRD pattern of MgTl2I3Cl (DFT lattice parameters and positions (GGA-PBE); Cu Kα).
No peak broadening, texture or thermal motion is included.

The 10 most intense peaks (2θ from 15° to 90°), in order of rising 2θ:
two_theta	I (rel.)
23.8	45
25.8	36
29.3	26
30.9	100
36.7	25
38.1	16
43.1	18
48.8	17
56.0	16
57.9	15

Crystal structure
a = 4.893 Å, b = 5.783 Å, c = 18.292 Å
α = 90.00°, β = 90.00°, γ = 90.00°
Sites, in units of the cell vectors:
Mg: 0.000 0.000 0.000
Mg: 0.500 0.500 0.500
Tl: 0.000 0.000 0.354
Tl: 0.000 0.000 0.646
Tl: 0.500 0.500 0.146
Tl: 0.500 0.500 0.854
I: 0.000 0.000 0.164
I: 0.000 0.000 0.836
I: 0.000 0.500 0.000
I: 0.500 0.000 0.500
I: 0.500 0.500 0.336
I: 0.500 0.500 0.664
Cl: 0.000 0.500 0.500
Cl: 0.500 0.000 0.000